BaPt: theoretical powder diffractogram (Cu Kα X-rays), based on a DFT-relaxed cell (GGA-PBE, Alexandria).
Intensities are scaled so that the largest is 100.

Structural model:
```
data_BaPt
_chemical_formula_sum 'Ba6 Pt6'
_space_group_name_H-M_alt 'C 1 m 1'
_space_group_IT_number 8
_cell_length_a 11.5633
_cell_length_b 4.4669
_cell_length_c 8.0657
_cell_angle_alpha 90.00
_cell_angle_beta 111.51
_cell_angle_gamma 90.00
loop_
_space_group_symop_operation_xyz
'x,y,z'
'x,-y,z'
'x+1/2,y+1/2,z'
'x+1/2,-y+1/2,z'
loop_
_atom_site_label
_atom_site_fract_x
_atom_site_fract_y
_atom_site_fract_z
Ba1 0.0000 0.0000 0.0000
Ba2 0.1395 0.5000 0.6906
Ba3 0.3124 0.5000 0.3451
Pt1 0.0011 0.5000 0.2783
Pt2 0.2785 0.0000 0.9910
Pt3 0.3552 0.0000 0.6934
```

Top 12 peaks for 2θ = 15–90°, sorted by position:
2theta, Rel. int., (hkl)
16.44, 44.3, 2 0 0
21.54, 42.9, 1 1 0
26.07, 72.7, 1 1 1
29.85, 100.0, 1 1 -2
30.76, 51.2, 3 1 -1
30.93, 41.6, 4 0 -1
34.07, 65.6, 3 1 -2
35.90, 56.6, 0 0 3
37.39, 90.2, 3 1 1
40.38, 55.5, 0 2 0
55.13, 33.1, 0 2 3
59.74, 30.6, 7 1 -2